Sr2MnPbO5: simulated powder diffractogram (λ = 1.5418 Å (Cu Kα)), based on a cell relaxed with PBE+U.
Kinematic intensities with the Lorentz-polarization factor, no thermal factor.

Main lines, sorted by position (2θ from 10° to 90°):
2theta, I/Imax, (hkl)
10.92, 39, 0 2 0
21.47, 37, 0 2 2
28.80, 100, 0 4 2
31.41, 87, 1 3 0
33.03, 94, 1 1 2
38.64, 33, 1 5 0
49.60, 41, 1 3 4
51.60, 42, 1 7 2

Atomic structure:
a = 3.352 Å, b = 16.209 Å, c = 9.625 Å
α = 90.00°, β = 90.00°, γ = 90.00°
Space group Cmcm (No. 63)
Asymmetric unit:
Sr: 0.000 0.134 0.038 x8
Mn: 0.000 0.227 0.750 x4
Pb: 0.000 0.484 0.250 x4
O: 0.000 0.106 0.750 x4
O: 0.000 0.281 0.116 x8
O: 0.000 0.345 0.750 x4
O: 0.000 0.500 0.000 x4